# V2Cu3H2O9
Computed X-ray powder pattern, Cu Ka. Input: a DFT-relaxed cell (PBE+U, Alexandria).
Intensities are scaled so that the largest is 100.

Cell: 6.2148 6.2148 7.4391 Å, 98.18 98.18 54.02°
Positions (direct):
V (0.0062, 0.0062, 0.2429)
V (0.9938, 0.9938, 0.7571)
Cu (0.0000, 0.5000, 0.5000)
Cu (0.5000, 0.0000, 0.5000)
Cu (0.5000, 0.5000, 0.5000)
H (0.3249, 0.3249, 0.9870)
H (0.6751, 0.6751, 0.0130)
O (0.0000, 0.0000, 0.0000)
O (0.1657, 0.1657, 0.3610)
O (0.1759, 0.6939, 0.3105)
O (0.3061, 0.8241, 0.6895)
O (0.3501, 0.3501, 0.5921)
O (0.6499, 0.6499, 0.4079)
O (0.6939, 0.1759, 0.3105)
O (0.8241, 0.3061, 0.6895)
O (0.8343, 0.8343, 0.6390)

Principal peaks in the range 2θ = 10–80°, low angle first:
12.05°, intensity 100
20.70°, intensity 9
27.00°, intensity 10
29.07°, intensity 11
31.23°, intensity 8
32.77°, intensity 10
33.12°, intensity 9
35.81°, intensity 13
37.77°, intensity 6
38.79°, intensity 10
50.13°, intensity 7
60.48°, intensity 7